Structure and theoretical powder X-ray diffraction pattern of Cs2UVO6 (a GGA+U-relaxed structure; CuKα).
Peak positions follow from Bragg's law for the DFT cell and can differ from measured ones.

Largest 8 diffraction maxima, by angle, 10 to 80 degrees two-theta:
2θ = 17.20°, I = 34
2θ = 26.84°, I = 100
2θ = 30.92°, I = 33
2θ = 31.44°, I = 21
2θ = 44.29°, I = 19
2θ = 44.67°, I = 20
2θ = 52.55°, I = 31
2θ = 53.23°, I = 20

Crystal structure
```
10
Lattice="-2.892 2.892 5.691 2.892 -2.892 5.691 2.892 2.892 -5.691" Properties=species:S:1:pos:R:3 pbc="T T T"
Cs 2.892 0.000 2.846
Cs 0.000 2.892 2.846
U 0.000 0.000 0.000
V 0.000 0.000 5.691
O 0.000 0.000 1.908
O 1.576 1.576 0.000
O 1.317 -1.317 5.691
O -1.317 1.317 5.691
O 1.317 1.317 5.691
O 0.000 0.000 9.474
```